1.
Starting from a cell relaxed with PBE, the powder XRD pattern of TbTlP was simulated for copper Kα.

Peak list (6 most intense, 10° ≤ 2θ ≤ 90°, sorted by position)
2θ (°)	d (Å)	I/Imax	h k l
24.01	3.707	71	1 0 1
30.42	2.938	28	0 0 4
32.39	2.764	100	1 1 0
45.04	2.013	47	1 1 4
56.58	1.627	20	2 0 4
57.78	1.596	22	2 1 3

Atomic structure:
Cell lengths 3.906, 3.906, 11.752 Å; angles 90.00, 90.00, 90.00 degrees
Space group I4mm (No. 107)
Symmetry-distinct sites (fractional):
Tb 0.000 0.000 0.000
Tl 0.000 0.000 0.732
P 0.000 0.000 0.499

2.
Starting from a cell relaxed with PBE, the powder XRD pattern of Rb3IN4 was simulated for copper Kα.

Peak list (6 most intense, 10° ≤ 2θ ≤ 90°, sorted by position)
2θ (°)	d (Å)	I/Imax	h k l
26.88	3.316	46	6 0 0
28.04	3.182	100	1 1 1
31.73	2.820	34	2 0 -2
32.16	2.784	74	5 1 -1
42.06	2.148	26	4 0 2
45.37	1.999	20	7 1 1

Atomic structure:
Cell lengths 20.673, 4.181, 5.640 Å; angles 90.00, 105.73, 90.00 degrees
Space group C2/m (No. 12)
Symmetry-distinct sites (fractional):
Rb 0.000 0.000 0.000
Rb 0.164 0.000 0.665
I 0.000 0.500 0.500
N 0.135 0.500 0.133
N 0.194 0.500 0.193

3.
Starting from a cell relaxed with PBE, the powder XRD pattern of LaPr10Tm6 was simulated for copper Kα.

Peak list (6 most intense, 10° ≤ 2θ ≤ 90°, sorted by position)
2θ (°)	d (Å)	I/Imax	h k l
30.41	2.939	31	2 1 1
31.28	2.860	83	3 0 0
31.44	2.846	100	2 -1 2
44.94	2.017	28	2 2 2
55.77	1.648	21	5 -1 2
56.07	1.640	20	1 1 4

Atomic structure:
Cell lengths 9.9072, 9.9072, 6.9534 Å; angles 90.00, 90.00, 120.00 degrees
Space group P-31m (No. 162)
Symmetry-distinct sites (fractional):
La 0.0000 0.0000 0.0000
Pr 0.0000 0.2811 0.6758
Pr 0.3333 0.6667 0.0000
Pr 0.3333 0.6667 0.5000
Tm 0.0000 0.3656 0.1804

4.
Starting from a cell relaxed with PBE, the powder XRD pattern of Np3U5As8 was simulated for copper Kα.

Peak list (6 most intense, 10° ≤ 2θ ≤ 90°, sorted by position)
2θ (°)	d (Å)	I/Imax	h k l
26.86	3.320	34	2 0 2
30.96	2.888	100	0 2 4
44.02	2.057	39	2 0 8
44.68	2.028	37	2 2 0
55.35	1.660	20	4 0 4
72.79	1.299	18	2 2 12

Atomic structure:
Cell lengths 8.1121, 8.1121, 20.3041 Å; angles 90.00, 90.00, 120.00 degrees
Space group R-3m (No. 166, hexagonal axes)
Symmetry-distinct sites (fractional):
Np 0.0000 0.5000 0.0000
U 0.0000 0.0000 0.0000
U 0.0000 0.0000 0.5000
U 0.0000 0.5000 0.5000
As 0.0000 0.0000 0.2494
As 0.0010 0.5005 0.7504

5.
Starting from a cell relaxed with PBE, the powder XRD pattern of Zr2PaIn3 was simulated for copper Kα.

Peak list (6 most intense, 10° ≤ 2θ ≤ 90°, sorted by position)
2θ (°)	d (Å)	I/Imax	h k l
34.43	2.605	100	1 0 3
38.69	2.328	17	0 0 6
40.59	2.222	33	1 1 0
57.32	1.607	21	1 1 6
67.29	1.391	11	1 0 9
69.91	1.346	25	2 1 3

Atomic structure:
Cell lengths 3.143, 3.143, 13.965 Å; angles 90.00, 90.00, 90.00 degrees
Space group P4/mmm (No. 123)
Symmetry-distinct sites (fractional):
Zr 0.000 0.000 0.158
Pa 0.000 0.000 0.500
In 0.500 0.500 0.000
In 0.500 0.500 0.320

6.
Starting from a cell relaxed with PBE, the powder XRD pattern of ThAs2Rh5 was simulated for copper Kα.

Peak list (6 most intense, 10° ≤ 2θ ≤ 90°, sorted by position)
2θ (°)	d (Å)	I/Imax	h k l
31.76	2.817	26	1 1 2
35.49	2.529	100	1 2 1
35.64	2.519	77	1 0 3
45.24	2.004	64	0 2 4
45.82	1.980	33	2 0 0
66.36	1.409	33	2 2 4

Atomic structure:
Cell lengths 3.961, 6.978, 9.793 Å; angles 90.00, 90.00, 90.00 degrees
Space group Immm (No. 71)
Symmetry-distinct sites (fractional):
Th 0.000 0.000 0.000
As 0.000 0.500 0.243
Rh 0.000 0.201 0.358
Rh 0.000 0.500 0.000

7.
Starting from a cell relaxed with PBE, the powder XRD pattern of TbIn3Pd3 was simulated for copper Kα.

Peak list (6 most intense, 10° ≤ 2θ ≤ 90°, sorted by position)
2θ (°)	d (Å)	I/Imax	h k l
22.12	4.019	19	1 1 0
27.34	3.262	21	1 1 3
38.81	2.320	92	3 0 0
39.29	2.293	100	2 -1 6
56.41	1.631	32	2 2 6
70.59	1.334	30	5 -1 6

Atomic structure:
Cell lengths 8.0377, 8.0377, 16.7550 Å; angles 90.00, 90.00, 120.00 degrees
Space group R-3 (No. 148, hexagonal axes)
Symmetry-distinct sites (fractional):
Tb 0.0000 0.0000 0.1672
In 0.0017 0.6635 0.2846
Pd 0.0014 0.6920 0.4490

8.
Starting from a cell relaxed with PBE, the powder XRD pattern of Sm5CdTe4 was simulated for copper Kα.

Peak list (6 most intense, 10° ≤ 2θ ≤ 90°, sorted by position)
2θ (°)	d (Å)	I/Imax	h k l
28.42	3.140	100	3 1 0
40.63	2.221	76	3 1 2
50.33	1.813	27	2 4 2
58.81	1.570	13	0 0 4
66.59	1.404	35	3 1 4
73.93	1.282	26	2 4 4

Atomic structure:
Cell lengths 9.928, 9.928, 6.284 Å; angles 90.00, 90.00, 90.00 degrees
Space group I4/m (No. 87)
Symmetry-distinct sites (fractional):
Sm 0.000 0.000 0.000
Sm 0.100 0.703 0.500
Cd 0.000 0.000 0.500
Te 0.097 0.698 0.000

9.
Starting from a cell relaxed with PBE, the powder XRD pattern of Sr3Si2Hg2Au4 was simulated for copper Kα.

Peak list (6 most intense, 10° ≤ 2θ ≤ 90°, sorted by position)
2θ (°)	d (Å)	I/Imax	h k l
19.26	4.608	50	0 0 6
27.86	3.202	100	1 1 2
29.66	3.012	48	1 0 7
30.07	2.972	55	1 1 4
33.45	2.678	90	1 1 6
38.69	2.327	86	2 0 0

Atomic structure:
Cell lengths 4.655, 4.655, 27.650 Å; angles 90.00, 90.00, 90.00 degrees
Space group I4/mmm (No. 139)
Symmetry-distinct sites (fractional):
Sr 0.000 0.000 0.000
Sr 0.000 0.000 0.166
Si 0.000 0.000 0.387
Hg 0.000 0.000 0.283
Au 0.000 0.500 0.083

10.
Starting from a cell relaxed with PBE, the powder XRD pattern of Ti3PtN was simulated for copper Kα.

Peak list (6 most intense, 10° ≤ 2θ ≤ 90°, sorted by position)
2θ (°)	d (Å)	I/Imax	h k l
10.83	8.173	45	0 0 2
22.45	3.961	28	1 0 1
27.10	3.291	26	0 1 3
38.02	2.367	100	1 1 4
44.36	2.042	37	2 0 0
64.15	1.452	23	2 2 0

Atomic structure:
Cell lengths 4.082, 4.129, 16.345 Å; angles 90.00, 90.00, 90.00 degrees
Space group Imma (No. 74)
Symmetry-distinct sites (fractional):
Ti 0.000 0.250 0.056
Ti 0.000 0.250 0.310
Ti 0.000 0.250 0.822
Pt 0.000 0.250 0.561
N 0.000 0.250 0.181

11.
Starting from a cell relaxed with PBE, the powder XRD pattern of Ba2La2MgTi3O12 was simulated for copper Kα.

Peak list (6 most intense, 10° ≤ 2θ ≤ 90°, sorted by position)
2θ (°)	d (Å)	I/Imax	h k l
22.25	3.996	50	1 0 4
31.47	2.843	100	1 1 0
31.86	2.809	96	0 1 8
38.88	2.316	43	0 2 4
45.39	1.998	68	2 0 8
56.28	1.635	38	1 2 8

Atomic structure:
Cell lengths 5.6856, 5.6856, 27.3584 Å; angles 90.00, 90.00, 120.00 degrees
Space group R-3m (No. 166, hexagonal axes)
Symmetry-distinct sites (fractional):
Ba 0.0000 0.0000 0.1245
La 0.0000 0.0000 0.3736
Mg 0.0000 0.0000 0.0000
Ti 0.0000 0.0000 0.2528
Ti 0.0000 0.0000 0.5000
O 0.0102 0.5051 0.1229
O 0.0180 0.5090 0.3732

12.
Starting from a cell relaxed with PBE, the powder XRD pattern of Ce4Si3S12 was simulated for copper Kα.

Peak list (6 most intense, 10° ≤ 2θ ≤ 90°, sorted by position)
2θ (°)	d (Å)	I/Imax	h k l
17.91	4.953	70	2 1 1
24.40	3.648	100	4 1 0
26.43	3.373	44	1 2 2
32.39	2.764	53	2 3 2
35.01	2.563	54	5 0 2
37.27	2.413	43	4 4 0

Atomic structure:
Cell lengths 19.3015, 19.3015, 7.9776 Å; angles 90.00, 90.00, 120.00 degrees
Space group R3c (No. 161, hexagonal axes)
Symmetry-distinct sites (fractional):
Ce 0.0000 0.0000 0.0000
Ce 0.1046 0.4344 0.4584
Si 0.0137 0.1994 0.3434
S 0.0473 0.4865 0.1654
S 0.0604 0.1253 0.2501
S 0.0659 0.3984 0.8160
S 0.2018 0.0839 0.4938

13.
Starting from a cell relaxed with PBE, the powder XRD pattern of LiSmSi2Pd5 was simulated for copper Kα.

Peak list (6 most intense, 10° ≤ 2θ ≤ 90°, sorted by position)
2θ (°)	d (Å)	I/Imax	h k l
36.63	2.453	100	1 1 2
39.66	2.272	16	0 0 4
43.06	2.100	19	1 1 3
43.93	2.061	35	2 0 0
60.66	1.527	19	2 0 4
75.95	1.253	23	3 1 2

Atomic structure:
Cell lengths 4.122, 4.122, 9.089 Å; angles 90.00, 90.00, 90.00 degrees
Space group P4/mmm (No. 123)
Symmetry-distinct sites (fractional):
Li 0.000 0.000 0.000
Sm 0.000 0.000 0.500
Si 0.500 0.500 0.127
Pd 0.000 0.500 0.260
Pd 0.500 0.500 0.500